[1]
Simulated X-ray diffraction stick pattern
Compound: CaLaFeBiO6
Radiation: CuKα
Structure: a DFT-relaxed cell (GGA+U, the Materials Project)

abc: 5.7987 5.7987 8.5078
angles: 90.00 90.00 90.00
Fractional positions:
Ca (0.0000, 0.5000, 0.2500)
Ca (0.5000, 0.0000, 0.7500)
La (0.0000, 0.0000, 0.5000)
La (0.5000, 0.5000, 0.0000)
Fe (0.0000, 0.0000, 0.0000)
Fe (0.5000, 0.5000, 0.5000)
Bi (0.0000, 0.5000, 0.7500)
Bi (0.5000, 0.0000, 0.2500)
O (0.0000, 0.0000, 0.2327)
O (0.0000, 0.0000, 0.7673)
O (0.1351, 0.3128, 0.9953)
O (0.1872, 0.3649, 0.5047)
O (0.3128, 0.8649, 0.0047)
O (0.3649, 0.8128, 0.4953)
O (0.5000, 0.5000, 0.2673)
O (0.5000, 0.5000, 0.7327)
O (0.6351, 0.1872, 0.4953)
O (0.6872, 0.1351, 0.0047)
O (0.8128, 0.6351, 0.5047)
O (0.8649, 0.6872, 0.9953)

The 10 most intense peaks (15 to 90 degrees two-theta), in order of rising 2θ:
(hkl), 2theta, intensity
1 0 1, 18.52, 627
1 1 2, 30.28, 1000
2 0 0, 30.84, 626
2 1 1, 36.21, 279
0 0 4, 42.50, 183
2 2 0, 44.18, 265
2 0 4, 53.43, 260
3 1 2, 54.49, 482
2 2 4, 62.97, 176
4 2 4, 88.27, 148


[2]
Simulated X-ray diffraction stick pattern
Compound: Li2FeW2O8
Radiation: CuKα
Structure: a DFT-relaxed cell (GGA+U, the Materials Project)

abc: 5.5823 5.6094 7.1968
angles: 90.37 90.08 101.34
Fractional positions:
Li (0.0000, 0.0000, 0.0000)
Li (0.4928, 0.4815, 0.5102)
Fe (0.4896, 0.5027, 0.0084)
W (0.5109, 0.0043, 0.7545)
W (0.9759, 0.4810, 0.2535)
O (0.3173, 0.5417, 0.2541)
O (0.3549, 0.1401, 0.9442)
O (0.4265, 0.1249, 0.5407)
O (0.4447, 0.6649, 0.7607)
O (0.8297, 0.1073, 0.7900)
O (0.8462, 0.5505, 0.4678)
O (0.8500, 0.6488, 0.0663)
O (0.8693, 0.1674, 0.2048)

The 10 most intense peaks (15 to 90 degrees two-theta), in order of rising 2θ:
(hkl), 2theta, intensity
0 1 -1, 20.25, 336
0 1 1, 20.39, 1000
1 -1 0, 20.52, 185
0 0 2, 24.74, 123
1 -1 2, 32.30, 138
-1 1 2, 32.41, 135
0 2 0, 32.56, 133
2 0 0, 32.72, 128
1 -2 1, 35.69, 123
-2 1 1, 35.88, 178